The following is a calculated X-ray diffraction stick pattern of VSiI2O. It was derived from a cell relaxed with GGA+U, using λ = 1.5418 Å (Cu Kα).
Neutral-atom scattering factors, no anomalous dispersion.

The 10 most intense peaks (5 to 70 degrees two-theta), in order of falling intensity:
2theta  I_rel  index
31.43  100  2 0 0
32.80  89  1 1 1
39.90  56  2 0 1
23.95  54  0 0 1
22.08  46  1 1 0
56.83  36  3 1 1
45.04  36  2 2 0
59.41  30  2 0 2
51.65  26  2 2 1
68.77  19  2 2 2

Structural model:
Cell: 5.693 5.693 3.715 Å, 90.00 90.00 90.00°
Atoms (fractional coordinates):
V  0.000  0.000  0.000
Si  0.500  0.500  0.500
I  0.000  0.500  0.000
I  0.500  0.000  0.000
O  0.000  0.000  0.500